[1]
Simulated XRD peak list
Compound: EuNi4B
Radiation: copper Kα
Structure: a GGA-PBE-relaxed structure

Cell: 5.0756 5.0756 6.9046 Å, 90.00 90.00 120.00°
Space group P6/mmm (No. 191)
Inequivalent atoms, fractional coordinates:
Eu1 0.0000 0.0000 0.0000 x1
Eu2 0.0000 0.0000 0.5000 x1
Ni1 0.0000 0.5000 0.2055 x6
Ni2 0.3333 0.6667 0.5000 x2
B1 0.3333 0.6667 0.0000 x2

The 10 most intense peaks (5 to 70 degrees two-theta), most intense first:
| 2θ/deg | d/Å | Rel. int. |
| --- | --- | --- |
| 44.3 | 2.045 | 100 |
| 33.0 | 2.715 | 85 |
| 41.1 | 2.198 | 77 |
| 35.4 | 2.538 | 31 |
| 69.7 | 1.349 | 28 |
| 62.0 | 1.497 | 28 |
| 65.4 | 1.427 | 15 |
| 69.2 | 1.358 | 13 |
| 39.1 | 2.302 | 13 |
| 53.1 | 1.726 | 12 |

***

[2]
Simulated XRD peak list
Compound: EuB4O7
Radiation: copper Kα
Structure: a GGA-PBE-relaxed structure

Cell: 10.8425 4.4724 4.2787 Å, 90.00 90.00 90.00°
Space group Pmn2_1 (No. 31)
Inequivalent atoms, fractional coordinates:
Eu1 0.0000 0.2097 0.0000 x2
B1 0.1216 0.6741 0.5211 x4
B2 0.2489 0.8226 0.9953 x4
O1 0.0000 0.7689 0.4145 x2
O2 0.1357 0.7294 0.8555 x4
O3 0.1422 0.3579 0.4508 x4
O4 0.2210 0.8695 0.3514 x4

The 10 most intense peaks (5 to 70 degrees two-theta), most intense first:
| 2θ/deg | d/Å | Rel. int. |
| --- | --- | --- |
| 33.4 | 2.686 | 100 |
| 22.3 | 3.980 | 57 |
| 21.5 | 4.134 | 56 |
| 44.4 | 2.038 | 56 |
| 32.4 | 2.761 | 53 |
| 16.4 | 5.421 | 49 |
| 31.8 | 2.811 | 48 |
| 28.9 | 3.092 | 42 |
| 47.9 | 1.900 | 34 |
| 46.6 | 1.950 | 32 |

***

[3]
Simulated XRD peak list
Compound: EuB3O6
Radiation: copper Kα
Structure: a GGA-PBE-relaxed structure

Cell: 9.9128 8.1999 6.4581 Å, 90.00 127.19 90.00°
Space group C2/c (No. 15)
Inequivalent atoms, fractional coordinates:
Eu1 0.0000 0.2052 0.2500 x4
B1 0.0000 0.2224 0.7500 x4
B2 0.2271 0.4325 0.0847 x8
O1 0.1012 0.3155 0.9910 x8
O2 0.1050 0.1148 0.7127 x8
O3 0.2033 0.4127 0.5034 x8

The 10 most intense peaks (5 to 70 degrees two-theta), most intense first:
| 2θ/deg | d/Å | Rel. int. |
| --- | --- | --- |
| 17.5 | 5.068 | 100 |
| 31.5 | 2.844 | 56 |
| 27.7 | 3.223 | 45 |
| 21.7 | 4.100 | 42 |
| 28.0 | 3.187 | 41 |
| 22.5 | 3.948 | 41 |
| 29.3 | 3.047 | 32 |
| 43.5 | 2.079 | 31 |
| 28.5 | 3.133 | 23 |
| 43.3 | 2.089 | 22 |

***

[4]
Simulated XRD peak list
Compound: EuBPd3
Radiation: copper Kα
Structure: a GGA-PBE-relaxed structure

Cell: 4.3766 4.3766 4.3766 Å, 90.00 90.00 90.00°
Space group Pm-3m (No. 221)
Inequivalent atoms, fractional coordinates:
Eu1 0.0000 0.0000 0.0000 x1
B1 0.5000 0.5000 0.5000 x1
Pd1 0.0000 0.5000 0.5000 x3

The 8 most intense peaks (5 to 70 degrees two-theta), most intense first:
| 2θ/deg | d/Å | Rel. int. |
| --- | --- | --- |
| 35.5 | 2.527 | 100 |
| 41.3 | 2.188 | 53 |
| 59.8 | 1.547 | 35 |
| 28.8 | 3.095 | 3 |
| 20.3 | 4.377 | 1 |
| 51.1 | 1.787 | 1 |
| 46.4 | 1.957 | 1 |
| 67.7 | 1.384 | 1 |

***

[5]
Simulated XRD peak list
Compound: Eu4BPd12
Radiation: copper Kα
Structure: a GGA-PBE-relaxed structure

Cell: 4.2859 4.2859 16.6398 Å, 90.00 90.00 90.00°
Space group P4/mmm (No. 123)
Inequivalent atoms, fractional coordinates:
Eu1 0.0000 0.0000 0.1247 x2
Eu2 0.0000 0.0000 0.3690 x2
B1 0.5000 0.5000 0.5000 x1
Pd1 0.0000 0.5000 0.0000 x2
Pd2 0.0000 0.5000 0.2510 x4
Pd3 0.0000 0.5000 0.5000 x2
Pd4 0.5000 0.5000 0.1251 x2
Pd5 0.5000 0.5000 0.3726 x2

The 10 most intense peaks (5 to 70 degrees two-theta), most intense first:
| 2θ/deg | d/Å | Rel. int. |
| --- | --- | --- |
| 36.7 | 2.449 | 100 |
| 42.2 | 2.143 | 34 |
| 62.2 | 1.493 | 21 |
| 43.5 | 2.080 | 15 |
| 61.2 | 1.515 | 11 |
| 29.9 | 2.985 | 2 |
| 20.7 | 4.286 | 1 |
| 29.5 | 3.031 | 1 |
| 21.4 | 4.160 | 1 |
| 52.6 | 1.741 | 1 |